KRb2Cu3As2: calculated powder diffraction line list (Cu Kα), based on a DFT-relaxed cell (PBE, OQMD).
Lines closer than 0.1° are merged.

The 12 most intense peaks (2θ from 15° to 90°), by angle:
2theta  I (rel.)  (hkl)
19.2  31  0 1 2
27.6  100  0 1 5
29.9  80  1 1 0
32.7  19  1 1 3
35.0  78  0 2 1
38.9  40  0 2 4
40.0  98  1 1 6
49.9  27  2 0 8
51.7  36  1 2 5
60.0  29  3 0 6
62.2  34  2 2 0
86.2  32  2 2 12

Crystal structure
```
data_KRb2Cu3As2
_cell_length_a 5.9739
_cell_length_b 5.9739
_cell_length_c 20.6536
_cell_angle_alpha 90.00
_cell_angle_beta 90.00
_cell_angle_gamma 120.00
_space_group_name_H-M_alt 'R -3 m'
_space_group_IT_number 166
_space_group_name_Hall '-R 3 2"'
loop_
_atom_site_label
_atom_site_type_symbol
_atom_site_fract_x
_atom_site_fract_y
_atom_site_fract_z
_atom_site_occupancy
K1 K 0.0000 0.0000 0.0000 1
Rb1 Rb 0.0000 0.0000 0.4105 1
Cu1 Cu 0.0000 0.5000 0.5000 1
As1 As 0.0000 0.0000 0.2445 1
```

Zn2Ge2P3N: calculated powder diffraction line list (Cu Kα), based on a DFT-relaxed cell (PBE, OQMD).
Lines closer than 0.1° are merged.

The 12 most intense peaks (2θ from 15° to 90°), by angle:
2theta  I (rel.)  (hkl)
29.4  99  1 1 1
29.8  100  3 1 -1
33.7  11  0 2 0
35.1  11  4 0 0
48.8  33  2 2 -2
49.3  17  2 0 2
49.5  34  4 2 0
50.3  17  6 0 -2
57.7  11  1 3 1
58.8  11  5 1 -3
59.3  11  5 1 1
60.0  12  7 1 -1

Crystal structure
```
data_Zn2Ge2P3N
_cell_length_a 11.4000
_cell_length_b 5.3147
_cell_length_c 5.2456
_cell_angle_alpha 90.00
_cell_angle_beta 116.26
_cell_angle_gamma 90.00
_space_group_name_H-M_alt 'C 1 2 1'
_space_group_IT_number 5
loop_
_space_group_symop_operation_xyz
'x,y,z'
'-x,y,-z'
'x+1/2,y+1/2,z'
'-x+1/2,y+1/2,-z'
loop_
_atom_site_label
_atom_site_type_symbol
_atom_site_fract_x
_atom_site_fract_y
_atom_site_fract_z
_atom_site_occupancy
Zn1 Zn 0.1123 0.0000 0.3306 1
Ge1 Ge 0.1159 0.4390 0.8939 1
P1 P 0.0000 0.7029 0.5000 1
P2 P 0.2494 0.7148 0.2500 1
N1 N 0.0000 0.2441 0.0000 1
```

PmFe4B4: calculated powder diffraction line list (Cu Kα), based on a DFT-relaxed cell (PBE, OQMD).
Lines closer than 0.1° are merged.

The 12 most intense peaks (2θ from 15° to 90°), by angle:
2theta  I (rel.)  (hkl)
25.4  29  2 0 0
26.6  56  1 0 1
36.2  17  2 2 0
37.1  100  2 1 1
40.6  72  1 3 0
43.5  14  2 2 1
49.6  16  1 0 2
52.8  31  2 3 1
59.4  15  4 1 1
64.5  15  1 3 2
68.0  14  1 5 0
71.6  18  5 0 1

Crystal structure
```
data_PmFe4B4
_cell_length_a 7.0257
_cell_length_b 7.0257
_cell_length_c 3.8062
_cell_angle_alpha 90.00
_cell_angle_beta 90.00
_cell_angle_gamma 90.00
_space_group_name_H-M_alt 'P 42/n'
_space_group_IT_number 86
loop_
_space_group_symop_operation_xyz
'x,y,z'
'-x,-y,-z'
'-y,x+1/2,z+1/2'
'y,-x+1/2,-z+1/2'
'-x+1/2,-y+1/2,z'
'x+1/2,y+1/2,-z'
'y+1/2,-x,z+1/2'
'-y+1/2,x,-z+1/2'
loop_
_atom_site_label
_atom_site_type_symbol
_atom_site_fract_x
_atom_site_fract_y
_atom_site_fract_z
_atom_site_occupancy
Pm1 Pm 0.2500 0.2500 0.2500 1
Fe1 Fe 0.1180 0.6374 0.1425 1
B1 B 0.0488 0.9158 0.1444 1
```